For CaTb6Pr2, a PBE-relaxed structure gives the calculated XRD peak list in this record (a wavelength of 1.5418 Å).

Most intense lines, 10° ≤ 2θ ≤ 90°, by angle:
two_theta, I/Imax
28.51, 38
30.47, 49
31.44, 100
33.07, 57
50.11, 37
59.77, 36

Cell and atoms:
a = 7.285 Å, b = 9.053 Å, c = 9.624 Å
α = 103.29°, β = 100.79°, γ = 90.01°
Atoms (fractional coordinates):
1 Ca 0.212 0.335 0.356
2 Ca 0.788 0.665 0.644
3 Tb 0.043 0.327 0.687
4 Tb 0.085 0.004 0.835
5 Tb 0.122 0.666 0.984
6 Tb 0.248 0.991 0.503
7 Tb 0.284 0.670 0.650
8 Tb 0.451 0.672 0.316
9 Tb 0.549 0.328 0.684
10 Tb 0.716 0.330 0.350
11 Tb 0.752 0.009 0.497
12 Tb 0.878 0.334 0.016
13 Tb 0.915 0.996 0.165
14 Tb 0.957 0.673 0.313
15 Pr 0.378 0.335 0.016
16 Pr 0.420 0.995 0.167
17 Pr 0.580 0.005 0.833
18 Pr 0.622 0.665 0.984

***

For Ca3TbPr2Te6, a PBE-relaxed structure gives the calculated XRD peak list in this record (a wavelength of 1.5418 Å).

Most intense lines, 10° ≤ 2θ ≤ 90°, by angle:
two_theta, I/Imax
28.11, 100
39.84, 39
40.51, 37
50.05, 13
58.12, 12
65.31, 17

Cell and atoms:
a = 7.711 Å, b = 7.711 Å, c = 7.884 Å
α = 99.42°, β = 99.42°, γ = 119.92°
Atoms (fractional coordinates):
1 Ca 0.000 0.000 0.000
2 Ca 0.330 0.670 0.000
3 Ca 0.670 0.330 0.000
4 Tb 0.500 0.500 0.500
5 Pr 0.165 0.835 0.500
6 Pr 0.835 0.165 0.500
7 Te 0.091 0.416 0.247
8 Te 0.260 0.260 0.755
9 Te 0.416 0.091 0.247
10 Te 0.584 0.909 0.753
11 Te 0.740 0.740 0.245
12 Te 0.909 0.584 0.753

***

> Which formula does entry 2 have?

Ca3TbPr2Te6